(1)
Calculated PXRD pattern of La2Zn7Ge for Cu Kα, 1.54184 Å, from the GGA-PBE geometry in Alexandria.
Peak positions follow from Bragg's law for the DFT cell and can differ from measured ones.

Top 10 peaks for 5° ≤ 2θ ≤ 70°, in order of falling intensity:
d = 2.656 Å, 33.75 deg, rel. 100; d = 2.716 Å, 32.98 deg, rel. 63; d = 2.184 Å, 41.34 deg, rel. 60; d = 1.702 Å, 53.87 deg, rel. 31; d = 1.878 Å, 48.47 deg, rel. 27; d = 1.424 Å, 65.55 deg, rel. 21; d = 1.544 Å, 59.89 deg, rel. 19; d = 3.089 Å, 28.91 deg, rel. 16; d = 1.512 Å, 61.32 deg, rel. 13; d = 1.989 Å, 45.60 deg, rel. 11

Structure:
```
La2Zn7Ge
1.0
4.3684 0.0000 0.0000
0.0000 4.3684 0.0000
0.0000 0.0000 10.4016
La Zn Ge
2 7 1
Direct
0.0000 0.5000 0.2494
0.5000 0.0000 0.7506
0.0000 0.0000 0.0000
0.0000 0.5000 0.6342
0.0000 0.5000 0.8722
0.5000 0.0000 0.1278
0.5000 0.0000 0.3658
0.5000 0.5000 0.0000
0.5000 0.5000 0.5000
0.0000 0.0000 0.5000
```

***

(2)
Calculated PXRD pattern of RbPdS2 for Cu Kα, 1.54184 Å, from the GGA-PBE geometry in Alexandria.
Peak positions follow from Bragg's law for the DFT cell and can differ from measured ones.

Top 10 peaks for 5° ≤ 2θ ≤ 70°, in order of falling intensity:
d = 5.324 Å, 16.65 deg, rel. 100; d = 2.497 Å, 35.96 deg, rel. 99; d = 3.568 Å, 24.96 deg, rel. 62; d = 2.893 Å, 30.91 deg, rel. 49; d = 4.236 Å, 20.97 deg, rel. 45; d = 6.798 Å, 13.02 deg, rel. 29; d = 4.875 Å, 18.20 deg, rel. 27; d = 1.583 Å, 58.30 deg, rel. 23; d = 1.589 Å, 58.04 deg, rel. 22; d = 1.902 Å, 47.83 deg, rel. 20

Structure:
```
RbPdS2
1.0
5.7866 0.0000 0.0000
0.0000 13.5969 0.0000
0.0000 0.0000 6.9930
Rb Pd S
4 4 8
Direct
0.0000 0.1727 0.2500
0.0000 0.8273 0.7500
0.5000 0.3273 0.7500
0.5000 0.6727 0.2500
0.0000 0.4990 0.2500
0.0000 0.5010 0.7500
0.5000 0.0010 0.7500
0.5000 0.9990 0.2500
0.0000 0.3874 0.5012
0.0000 0.3874 0.9988
0.0000 0.6126 0.0012
0.0000 0.6126 0.4988
0.5000 0.1126 0.0012
0.5000 0.1126 0.4988
0.5000 0.8874 0.5012
0.5000 0.8874 0.9988
```

***

(3)
Calculated PXRD pattern of Cs2Mg2InBr7 for Cu Kα, 1.54184 Å, from the GGA-PBE geometry in Alexandria.
Peak positions follow from Bragg's law for the DFT cell and can differ from measured ones.

Top 10 peaks for 5° ≤ 2θ ≤ 70°, in order of falling intensity:
d = 2.979 Å, 30.00 deg, rel. 100; d = 2.710 Å, 33.05 deg, rel. 59; d = 1.611 Å, 57.16 deg, rel. 47; d = 1.961 Å, 46.30 deg, rel. 24; d = 3.373 Å, 26.43 deg, rel. 23; d = 1.916 Å, 47.44 deg, rel. 21; d = 2.841 Å, 31.49 deg, rel. 18; d = 3.833 Å, 23.21 deg, rel. 18; d = 1.783 Å, 51.24 deg, rel. 14; d = 1.589 Å, 58.06 deg, rel. 12

Structure:
```
Cs2Mg2InBr7
1.0
3.8323 -3.8327 0.0000
3.8323 3.8327 0.0000
-3.8320 0.0000 14.2032
Cs Mg In Br
2 2 1 7
Direct
0.1806 0.1806 0.3608
0.8194 0.8194 0.6392
0.4065 0.4065 0.8098
0.5935 0.5935 0.1902
0.0000 0.0000 0.0000
0.0894 0.5900 0.1803
0.3118 0.3118 0.6231
0.4100 0.9106 0.8197
0.5000 0.5000 0.0000
0.5900 0.0894 0.1803
0.6882 0.6882 0.3769
0.9106 0.4100 0.8197
```

***

(4)
Calculated PXRD pattern of Fe2Ni8As for Cu Kα, 1.54184 Å, from the GGA-PBE geometry in Alexandria.
Peak positions follow from Bragg's law for the DFT cell and can differ from measured ones.

Top 10 peaks for 5° ≤ 2θ ≤ 70°, in order of falling intensity:
d = 1.999 Å, 45.38 deg, rel. 100; d = 1.965 Å, 46.19 deg, rel. 26; d = 1.895 Å, 48.01 deg, rel. 22; d = 1.364 Å, 68.82 deg, rel. 14; d = 2.303 Å, 39.11 deg, rel. 7; d = 2.653 Å, 33.79 deg, rel. 7; d = 1.468 Å, 63.36 deg, rel. 7; d = 3.000 Å, 29.78 deg, rel. 4; d = 3.595 Å, 24.76 deg, rel. 4; d = 2.842 Å, 31.47 deg, rel. 3

Structure:
```
Fe2Ni8As
1.0
3.5952 -4.6423 0.0000
3.5952 4.6423 0.0000
0.0000 0.0000 3.9307
Fe Ni As
2 8 1
Direct
0.1238 0.8762 0.0000
0.8762 0.1238 0.0000
0.1685 0.1685 0.5000
0.1938 0.4641 0.0000
0.2529 0.7471 0.5000
0.4641 0.1938 0.0000
0.5359 0.8062 0.0000
0.7471 0.2529 0.5000
0.8062 0.5359 0.0000
0.8315 0.8315 0.5000
0.5000 0.5000 0.5000
```